1.
Starting from a PBE-relaxed structure, the X-ray diffraction stick pattern of Cs6NbSb4 was simulated for Cu Kα (λ = 1.5418 Å).
Intensities are scaled so that the largest is 100.

Most intense lines, 2θ = 15–90°, by angle:
Position (°2θ)	d/Å	Rel. int.
24.9	3.579	100
25.6	3.485	96
27.8	3.207	64
29.4	3.033	41
29.8	3.000	27
30.3	2.950	68
45.4	1.998	24
48.2	1.886	40

Crystal structure
Cell lengths 11.7992, 11.7992, 9.5294 Å; angles 90.00, 90.00, 120.00 degrees
Space group P6_3mc (No. 186)
Unique sites:
Cs 0.0641 0.5320 0.0000 [6 per cell]
Cs 0.1443 0.2887 0.3172 [6 per cell]
Nb 0.3333 0.6667 0.6072 [2 per cell]
Sb 0.2070 0.4140 0.6960 [6 per cell]
Sb 0.3333 0.6667 0.3242 [2 per cell]

***

2.
Starting from a PBE-relaxed structure, the X-ray diffraction stick pattern of Cs8NbSe6 was simulated for Cu Kα (λ = 1.5418 Å).
Intensities are scaled so that the largest is 100.

Most intense lines, 2θ = 15–90°, by angle:
Position (°2θ)	d/Å	Rel. int.
21.2	4.189	54
22.2	3.998	31
23.8	3.738	25
25.6	3.476	26
28.5	3.136	100
29.7	3.006	60
30.8	2.906	31
35.5	2.529	39

Crystal structure
Cell lengths 10.115, 9.463, 14.950 Å; angles 90.00, 90.00, 90.00 degrees
Space group Pmn2_1 (No. 31)
Unique sites:
Cs 0.000 0.031 0.068 [2 per cell]
Cs 0.000 0.144 0.617 [2 per cell]
Cs 0.200 0.498 0.769 [4 per cell]
Cs 0.225 0.666 0.500 [4 per cell]
Cs 0.233 0.938 0.816 [4 per cell]
Nb 0.000 0.641 0.117 [2 per cell]
Se 0.000 0.207 0.856 [2 per cell]
Se 0.000 0.384 0.157 [2 per cell]
Se 0.000 0.773 0.261 [2 per cell]
Se 0.000 0.776 0.667 [2 per cell]
Se 0.200 0.702 0.027 [4 per cell]

***

3.
Starting from a PBE-relaxed structure, the X-ray diffraction stick pattern of CsNb5Se8 was simulated for Cu Kα (λ = 1.5418 Å).
Intensities are scaled so that the largest is 100.

Most intense lines, 2θ = 15–90°, by angle:
Position (°2θ)	d/Å	Rel. int.
30.3	2.948	44
31.9	2.807	93
32.9	2.721	39
37.2	2.418	30
38.7	2.328	100
38.9	2.313	38
49.9	1.828	45
51.8	1.766	32

Crystal structure
Cell lengths 19.246, 3.531, 9.564 Å; angles 90.00, 104.91, 90.00 degrees
Space group C2/m (No. 12)
Unique sites:
Cs 0.000 0.000 0.000 [2 per cell]
Nb 0.000 0.500 0.500 [2 per cell]
Nb 0.140 0.000 0.511 [4 per cell]
Nb 0.211 0.000 0.867 [4 per cell]
Se 0.069 0.000 0.697 [4 per cell]
Se 0.087 0.500 0.320 [4 per cell]
Se 0.156 0.500 0.007 [4 per cell]
Se 0.240 0.500 0.662 [4 per cell]

***

4.
Starting from a PBE-relaxed structure, the X-ray diffraction stick pattern of CsNbSe3 was simulated for Cu Kα (λ = 1.5418 Å).
Intensities are scaled so that the largest is 100.

Most intense lines, 2θ = 15–90°, by angle:
Position (°2θ)	d/Å	Rel. int.
24.2	3.675	23
28.7	3.115	20
30.1	2.965	100
34.8	2.578	30
35.7	2.512	41
43.7	2.074	40
49.6	1.837	31
51.7	1.768	22

Crystal structure
Cell lengths 6.231, 14.687, 8.495 Å; angles 90.00, 90.00, 90.00 degrees
Space group Pnma (No. 62)
Unique sites:
Cs 0.000 0.000 0.000 [4 per cell]
Nb 0.222 0.250 0.297 [4 per cell]
Se 0.006 0.626 0.614 [8 per cell]
Se 0.034 0.250 0.015 [4 per cell]